[1]
Diffraction record for Na2NiPCO7. The PXRD pattern is theoretical, not measured: it uses a DFT-relaxed cell (PBE+U, the Materials Project) and Cu Kα, 1.54184 Å.
Lines closer than 0.1° are merged.

Atomic structure:
Cell lengths 6.6383, 10.1424, 10.3206 Å; angles 61.32, 89.77, 89.49 degrees
Fractional coordinates of all 48 atoms:
Na1 0.0000 0.0000 0.0000
Na2 0.0064 0.9857 0.5056
Na3 0.0257 0.4732 0.5169
Na4 0.0438 0.4752 0.9992
Na5 0.2791 0.6454 0.1875
Na6 0.5018 0.4719 0.5211
Na7 0.5240 0.9839 0.5073
Na8 0.5338 0.9996 0.9991
Ni1 0.2651 0.0856 0.6893
Ni2 0.2665 0.0866 0.1889
Ni3 0.7569 0.3865 0.8243
Ni4 0.7605 0.3856 0.3192
P1 0.2630 0.3135 0.3271
P2 0.2643 0.3160 0.8205
P3 0.7650 0.1569 0.6848
P4 0.7651 0.1587 0.1832
C1 0.2629 0.8109 0.8614
C2 0.2661 0.8047 0.3559
C3 0.7671 0.6615 0.1494
C4 0.7670 0.6608 0.6525
O1 0.0755 0.4105 0.8079
O2 0.0791 0.4146 0.3142
O3 0.2537 0.6728 0.9479
O4 0.2561 0.2772 0.1974
O5 0.2620 0.1614 0.4715
O6 0.2620 0.2800 0.6874
O7 0.2635 0.6625 0.4312
O8 0.2671 0.1667 0.9661
O9 0.2668 0.8713 0.7184
O10 0.2666 0.8950 0.4112
O11 0.2684 0.8698 0.2114
O12 0.2682 0.9091 0.9094
O13 0.4487 0.4084 0.3185
O14 0.4526 0.4108 0.7982
O15 0.5781 0.0634 0.6959
O16 0.5777 0.0653 0.1938
O17 0.7566 0.6016 0.2928
O18 0.7642 0.1918 0.8177
O19 0.7638 0.5615 0.6065
O20 0.7654 0.1921 0.3163
O21 0.7657 0.3082 0.5395
O22 0.7676 0.6027 0.7941
O23 0.7687 0.7996 0.5661
O24 0.7693 0.8015 0.0659
O25 0.7732 0.3080 0.0382
O26 0.7732 0.5638 0.1031
O27 0.9523 0.0606 0.1973
O28 0.9535 0.0616 0.6981

The 12 most intense peaks (10° ≤ 2θ ≤ 80°), sorted by position:
16.60°, I = 43
16.73°, I = 42
19.61°, I = 30
20.18°, I = 41
26.02°, I = 59
26.86°, I = 100
33.51°, I = 71
34.38°, I = 29
34.79°, I = 64
37.86°, I = 26
42.17°, I = 41
55.36°, I = 44



[2]
Diffraction record for CeVO4. The PXRD pattern is theoretical, not measured: it uses a DFT-relaxed cell (PBE+U, the Materials Project) and Cu Kα, 1.54184 Å.
Lines closer than 0.1° are merged.

Atomic structure:
Cell lengths 6.7377, 6.7377, 6.7377 Å; angles 134.68, 134.68, 66.03 degrees
Fractional coordinates of all 12 atoms:
Ce1 0.3750 0.1250 0.2500
Ce2 0.6250 0.8750 0.7500
V1 0.1250 0.3750 0.7500
V2 0.8750 0.6250 0.2500
O1 0.0511 0.7161 0.8572
O2 0.2161 0.8589 0.6650
O3 0.3061 0.4489 0.1650
O4 0.3589 0.1939 0.6428
O5 0.6411 0.8061 0.3572
O6 0.6939 0.5511 0.8350
O7 0.7839 0.1411 0.3350
O8 0.9489 0.2839 0.1428

The 12 most intense peaks (10° ≤ 2θ ≤ 80°), sorted by position:
18.81°, I = 27
29.01°, I = 100
31.67°, I = 14
34.55°, I = 18
39.63°, I = 13
45.92°, I = 10
47.57°, I = 30
49.67°, I = 14
54.78°, I = 17
58.55°, I = 28
60.10°, I = 13
77.06°, I = 11



[3]
Diffraction record for Ti11Fe13O36. The PXRD pattern is theoretical, not measured: it uses a DFT-relaxed cell (PBE+U, the Materials Project) and Cu Kα, 1.54184 Å.
Lines closer than 0.1° are merged.

Atomic structure:
Cell lengths 5.1560, 5.5919, 25.6109 Å; angles 92.91, 90.15, 117.34 degrees
Fractional coordinates of all 60 atoms:
Ti1 0.0000 0.0000 0.0000
Ti2 0.0051 0.9999 0.7529
Ti3 0.0602 0.1059 0.1183
Ti4 0.3465 0.6625 0.5830
Ti5 0.3510 0.6708 0.8347
Ti6 0.3851 0.7741 0.9524
Ti7 0.3914 0.7841 0.4503
Ti8 0.6517 0.3231 0.4173
Ti9 0.6694 0.3308 0.1666
Ti10 0.6754 0.3347 0.6687
Ti11 0.7276 0.4470 0.2828
Fe1 0.0022 0.0056 0.5014
Fe2 0.0027 0.0052 0.2499
Fe3 0.0568 0.0995 0.3668
Fe4 0.0603 0.1063 0.8683
Fe5 0.0629 0.1113 0.6190
Fe6 0.3275 0.6629 0.3326
Fe7 0.3411 0.6675 0.0836
Fe8 0.3852 0.7671 0.7027
Fe9 0.3912 0.7701 0.2026
Fe10 0.6693 0.3380 0.9168
Fe11 0.7178 0.4326 0.7865
Fe12 0.7199 0.4387 0.0355
Fe13 0.7208 0.4376 0.5351
O1 0.0128 0.2776 0.7945
O2 0.0672 0.8148 0.3160
O3 0.0829 0.4938 0.4076
O4 0.0969 0.8178 0.8135
O5 0.1203 0.5214 0.9024
O6 0.1641 0.7204 0.0129
O7 0.1898 0.7191 0.5186
O8 0.2225 0.0497 0.9404
O9 0.2454 0.0515 0.4356
O10 0.2694 0.2628 0.0493
O11 0.2875 0.3000 0.5544
O12 0.3202 0.9682 0.1361
O13 0.3258 0.9386 0.6283
O14 0.3943 0.1426 0.7298
O15 0.4118 0.4684 0.1502
O16 0.4168 0.4766 0.6506
O17 0.4591 0.1739 0.2370
O18 0.4901 0.3984 0.8515
O19 0.5257 0.3951 0.3524
O20 0.5537 0.7044 0.2708
O21 0.5706 0.7422 0.7724
O22 0.6069 0.9437 0.3850
O23 0.6156 0.9403 0.8811
O24 0.6369 0.6039 0.4604
O25 0.6483 0.6389 0.9698
O26 0.7154 0.1392 0.4813
O27 0.7415 0.1392 0.9824
O28 0.7448 0.8283 0.5719
O29 0.7852 0.8426 0.0708
O30 0.8431 0.0592 0.1796
O31 0.8504 0.0672 0.6868
O32 0.8923 0.3847 0.1056
O33 0.8987 0.3924 0.6073
O34 0.9278 0.6072 0.7129
O35 0.9370 0.5928 0.2158
O36 0.9826 0.3073 0.3024

The 12 most intense peaks (10° ≤ 2θ ≤ 80°), sorted by position:
23.61°, I = 30
32.17°, I = 100
32.43°, I = 47
34.64°, I = 36
34.70°, I = 35
34.80°, I = 34
47.72°, I = 20
48.22°, I = 19
48.38°, I = 19
52.19°, I = 24
52.71°, I = 27
60.41°, I = 17



[4]
Diffraction record for Rb2Cr2O7. The PXRD pattern is theoretical, not measured: it uses a DFT-relaxed cell (PBE+U, the Materials Project) and Cu Kα, 1.54184 Å.
Lines closer than 0.1° are merged.

Atomic structure:
Cell lengths 7.6172, 7.8154, 8.0520 Å; angles 108.97, 90.88, 110.19 degrees
Fractional coordinates of all 22 atoms:
Rb1 0.1212 0.0075 0.2524
Rb2 0.3117 0.5838 0.7473
Rb3 0.6883 0.4162 0.2527
Rb4 0.8788 0.9925 0.7476
Cr1 0.2011 0.5229 0.2445
Cr2 0.4161 0.1206 0.7766
Cr3 0.5839 0.8794 0.2234
Cr4 0.7989 0.4771 0.7555
O1 0.0408 0.3405 0.0900
O2 0.0989 0.6577 0.3728
O3 0.2650 0.1513 0.6524
O4 0.3061 0.4388 0.3605
O5 0.3232 0.0831 0.9492
O6 0.3726 0.6627 0.1409
O7 0.4723 0.9366 0.6660
O8 0.5277 0.0634 0.3340
O9 0.6274 0.3373 0.8591
O10 0.6768 0.9169 0.0508
O11 0.6939 0.5612 0.6395
O12 0.7350 0.8487 0.3476
O13 0.9011 0.3423 0.6272
O14 0.9592 0.6595 0.9100

The 12 most intense peaks (10° ≤ 2θ ≤ 80°), sorted by position:
23.62°, I = 100
24.27°, I = 34
24.42°, I = 14
25.97°, I = 37
26.25°, I = 50
28.36°, I = 48
28.76°, I = 19
28.93°, I = 18
29.40°, I = 30
32.96°, I = 17
40.93°, I = 25
47.28°, I = 18